The following is a simulated powder diffraction line list of Nd5HoSc2. It was derived from a crystal structure in Alexandria, relaxed with GGA-PBE, using Cu Kα (weighted mean of Kα1 and Kα2).
Kinematic intensities with the Lorentz-polarization factor, no thermal factor.

Main lines, by angle (2θ = 10–80°):
2θ 30.8, intensity 100
2θ 35.7, intensity 17
2θ 35.8, intensity 33
2θ 51.4, intensity 35
2θ 61.1, intensity 14
2θ 61.2, intensity 28

Cell and atoms:
a = 7.0977 Å, b = 14.2002 Å, c = 5.0346 Å
α = 90.00°, β = 90.00°, γ = 90.00°
Positions (direct):
Nd: 0.0000 0.0000 0.0000
Nd: 0.0021 0.2517 0.0000
Nd: 0.2473 0.6235 0.5000
Nd: 0.2527 0.1235 0.5000
Nd: 0.4979 0.7517 0.0000
Nd: 0.5000 0.5000 0.0000
Nd: 0.5021 0.2483 0.0000
Nd: 0.7473 0.8765 0.5000
Nd: 0.7527 0.3765 0.5000
Nd: 0.9979 0.7483 0.0000
Ho: 0.0000 0.5000 0.0000
Ho: 0.5000 0.0000 0.0000
Sc: 0.2503 0.3762 0.5000
Sc: 0.2497 0.8762 0.5000
Sc: 0.7503 0.1238 0.5000
Sc: 0.7497 0.6238 0.5000

***

The following is a simulated powder diffraction line list of AcAlGa2Pd4. It was derived from a crystal structure in Alexandria, relaxed with GGA-PBE, using Cu Kα (weighted mean of Kα1 and Kα2).
Kinematic intensities with the Lorentz-polarization factor, no thermal factor.

Main lines, by angle (2θ = 10–80°):
2θ 28.8, intensity 54
2θ 33.1, intensity 55
2θ 35.6, intensity 64
2θ 41.4, intensity 100
2θ 55.7, intensity 18
2θ 75.4, intensity 17

Cell and atoms:
a = 9.3715 Å, b = 9.3715 Å, c = 9.3715 Å
α = 26.93°, β = 26.93°, γ = 26.93°
Positions (direct):
Ac: 0.0000 0.0000 0.0000
Al: 0.5000 0.5000 0.5000
Ga: 0.2377 0.2377 0.2377
Ga: 0.7623 0.7623 0.7623
Pd: 0.1369 0.1369 0.1369
Pd: 0.4070 0.4070 0.4070
Pd: 0.5930 0.5930 0.5930
Pd: 0.8631 0.8631 0.8631

***

The following is a simulated powder diffraction line list of Nb2CuPd6. It was derived from a crystal structure in Alexandria, relaxed with GGA-PBE, using Cu Kα (weighted mean of Kα1 and Kα2).
Kinematic intensities with the Lorentz-polarization factor, no thermal factor.

Main lines, by angle (2θ = 10–80°):
2θ 38.5, intensity 62
2θ 41.5, intensity 100
2θ 55.6, intensity 21
2θ 71.7, intensity 37
2θ 77.6, intensity 7
2θ 77.7, intensity 7

Cell and atoms:
a = 8.2471 Å, b = 7.3913 Å, c = 4.9276 Å
α = 81.40°, β = 62.39°, γ = 36.21°
Positions (direct):
Nb: 0.1596 0.1596 0.8404
Nb: 0.8404 0.8404 0.1596
Cu: 0.5000 0.5000 0.5000
Pd: 0.1647 0.8353 0.1647
Pd: 0.1709 0.4890 0.5110
Pd: 0.4890 0.1709 0.8291
Pd: 0.5110 0.8291 0.1709
Pd: 0.8291 0.5110 0.4890
Pd: 0.8353 0.1647 0.8353

***

What did the first record say?
The following is a simulated powder diffraction line list of Nd5HoSc2. It was derived from a crystal structure in Alexandria, relaxed with GGA-PBE, using Cu Kα (weighted mean of Kα1 and Kα2).
Kinematic intensities with the Lorentz-polarization factor, no thermal factor.

Main lines, by angle (2θ = 10–80°):
2θ 30.8, intensity 100
2θ 35.7, intensity 17
2θ 35.8, intensity 33
2θ 51.4, intensity 35
2θ 61.1, intensity 14
2θ 61.2, intensity 28

Cell and atoms:
a = 7.0977 Å, b = 14.2002 Å, c = 5.0346 Å
α = 90.00°, β = 90.00°, γ = 90.00°
Positions (direct):
Nd: 0.0000 0.0000 0.0000
Nd: 0.0021 0.2517 0.0000
Nd: 0.2473 0.6235 0.5000
Nd: 0.2527 0.1235 0.5000
Nd: 0.4979 0.7517 0.0000
Nd: 0.5000 0.5000 0.0000
Nd: 0.5021 0.2483 0.0000
Nd: 0.7473 0.8765 0.5000
Nd: 0.7527 0.3765 0.5000
Nd: 0.9979 0.7483 0.0000
Ho: 0.0000 0.5000 0.0000
Ho: 0.5000 0.0000 0.0000
Sc: 0.2503 0.3762 0.5000
Sc: 0.2497 0.8762 0.5000
Sc: 0.7503 0.1238 0.5000
Sc: 0.7497 0.6238 0.5000